# Li8Tl5Sn
Calculated PXRD pattern, Cu Kα X-rays. Input: the PBE geometry in Alexandria.

Atomic structure:
```
Li8Tl5Sn
1.0
-4.1141 4.1141 4.4462
4.1141 -4.1141 4.4462
4.1141 4.1141 -4.4462
Li Tl Sn
8 5 1
direct
0.1656 0.4163 0.0760
0.3402 0.0895 0.9240
0.4212 0.1794 0.3968
0.5837 0.6598 0.7493
0.7826 0.0244 0.6032
0.8206 0.2174 0.2418
0.9105 0.8344 0.2507
0.9756 0.5788 0.7582
0.1939 0.2960 0.6479
0.2500 0.7500 0.5000
0.4540 0.8061 0.1022
0.6481 0.5460 0.3521
0.7040 0.3519 0.8978
0.0000 0.0000 0.0000
```

Top 12 peaks for 10 to 80 degrees two-theta, by intensity:
2θ (°), intensity
26.21, 100
25.21, 53
39.02, 27
34.47, 26
34.21, 25
14.67, 21
29.58, 19
40.82, 18
32.10, 17
50.47, 15
49.54, 14
40.15, 14